Tm6ThAl: theoretical X-ray powder pattern (Cu Kα (weighted mean of Kα1 and Kα2)), based on the PBE geometry in Alexandria.
Lines closer than 0.1° are merged.

Cell and atoms:
a b c (Å): 4.841 4.841 9.693
angles (deg): 90.00 90.00 90.00
Space group P4/mmm (No. 123)
One atom of each set of equivalent atoms:
Tm 0.000 0.000 0.000 [1 per cell]
Tm 0.000 0.000 0.500 [1 per cell]
Tm 0.000 0.500 0.239 [4 per cell]
Th 0.500 0.500 0.500 [1 per cell]
Al 0.500 0.500 0.000 [1 per cell]

Peak list (8 most intense, 2θ from 10° to 90°, by angle)
| hkl | d_spacing | two_theta | I_rel |
| --- | --- | --- | --- |
| 1 0 1 | 4.331 | 20.51 | 7 |
| 0 0 3 | 3.229 | 27.63 | 8 |
| 1 1 2 | 2.796 | 32.01 | 100 |
| 2 0 0 | 2.421 | 37.13 | 50 |
| 2 2 0 | 1.712 | 53.52 | 35 |
| 3 1 2 | 1.460 | 63.74 | 41 |
| 2 2 4 | 1.398 | 66.93 | 12 |
| 3 3 2 | 1.111 | 87.88 | 17 |

ThAl20V2: theoretical X-ray powder pattern (Cu Kα (weighted mean of Kα1 and Kα2)), based on the PBE geometry in Alexandria.
Lines closer than 0.1° are merged.

Cell and atoms:
a b c (Å): 14.566 14.566 14.566
angles (deg): 90.00 90.00 90.00
Space group Fd-3m (No. 227, origin choice 2)
One atom of each set of equivalent atoms:
Th 0.125 0.125 0.125 [8 per cell]
Al 0.000 0.000 0.000 [16 per cell]
Al 0.012 0.375 0.875 [48 per cell]
Al 0.059 0.059 0.326 [96 per cell]
V 0.000 0.000 0.500 [16 per cell]

Peak list (8 most intense, 2θ from 10° to 90°, by angle)
| hkl | d_spacing | two_theta | I_rel |
| --- | --- | --- | --- |
| 2 2 0 | 5.150 | 17.22 | 83 |
| 3 1 1 | 4.392 | 20.22 | 100 |
| 4 2 2 | 2.973 | 30.06 | 41 |
| 4 4 0 | 2.575 | 34.84 | 44 |
| 5 3 1 | 2.462 | 36.49 | 93 |
| 6 2 0 | 2.303 | 39.11 | 66 |
| 5 3 3 | 2.221 | 40.62 | 73 |
| 6 6 0 | 1.717 | 53.37 | 43 |

Th2AlW: theoretical X-ray powder pattern (Cu Kα (weighted mean of Kα1 and Kα2)), based on the PBE geometry in Alexandria.
Lines closer than 0.1° are merged.

Cell and atoms:
a b c (Å): 3.2228 3.2228 32.8603
angles (deg): 90.00 90.00 120.00
Space group R-3m (No. 166, hexagonal axes)
One atom of each set of equivalent atoms:
Th 0.0000 0.0000 0.0862 [6 per cell]
Al 0.0000 0.0000 0.5000 [3 per cell]
W 0.0000 0.0000 0.0000 [3 per cell]

Peak list (8 most intense, 2θ from 10° to 90°, by angle)
| hkl | d_spacing | two_theta | I_rel |
| --- | --- | --- | --- |
| 0 0 6 | 5.477 | 16.18 | 32 |
| 1 0 1 | 2.781 | 32.19 | 100 |
| 0 1 2 | 2.752 | 32.54 | 59 |
| 0 0 12 | 2.738 | 32.70 | 46 |
| 1 0 10 | 2.127 | 42.50 | 41 |
| 0 1 11 | 2.039 | 44.42 | 49 |
| 1 1 0 | 1.611 | 57.16 | 30 |
| 1 1 12 | 1.389 | 67.42 | 43 |